Entry 1:
The following is a computed powder diffractogram of KHF2. It was derived from a DFT-relaxed cell (PBE, the Materials Project), using λ = 1.5418 Å (Cu Kα).
Lines closer than 0.1° are merged.

Top 10 peaks for 2θ = 10–90°, by angle:
2θ = 21.96°, d = 4.048 Å, rel. 27, (1 1 0)
2θ = 31.25°, d = 2.862 Å, rel. 22, (2 0 0)
2θ = 34.23°, d = 2.619 Å, rel. 100, (1 1 2)
2θ = 37.49°, d = 2.399 Å, rel. 41, (2 1 1)
2θ = 41.04°, d = 2.199 Å, rel. 39, (2 0 2)
2θ = 44.78°, d = 2.024 Å, rel. 12, (2 2 0)
2θ = 50.41°, d = 1.810 Å, rel. 32, (3 1 0)
2θ = 53.70°, d = 1.707 Å, rel. 11, (2 1 3)
2θ = 71.40°, d = 1.321 Å, rel. 14, (4 0 2)
2θ = 76.44°, d = 1.246 Å, rel. 15, (3 1 4)

Cell lengths 5.725, 5.725, 6.871 Å; angles 90.00, 90.00, 90.00 degrees
Space group I4/mcm (No. 140)
One atom of each set of equivalent atoms:
K: 0.000 0.000 0.250 [4 per cell]
H: 0.000 0.500 0.000 [4 per cell]
F: 0.142 0.358 0.000 [8 per cell]

=====

Entry 2:
The following is a computed powder diffractogram of K2H5F7. It was derived from a DFT-relaxed cell (PBE, the Materials Project), using λ = 1.5418 Å (Cu Kα).
Lines closer than 0.1° are merged.

Top 10 peaks for 2θ = 10–90°, by angle:
2θ = 17.83°, d = 4.973 Å, rel. 28, (2 0 0)
2θ = 27.51°, d = 3.242 Å, rel. 85, (2 2 0)
2θ = 32.70°, d = 2.739 Å, rel. 100, (1 2 2)
2θ = 32.78°, d = 2.732 Å, rel. 96, (2 2 -2)
2θ = 34.24°, d = 2.619 Å, rel. 28, (0 1 3)
2θ = 42.03°, d = 2.150 Å, rel. 39, (4 2 0)
2θ = 42.92°, d = 2.107 Å, rel. 31, (1 0 -4)
2θ = 43.80°, d = 2.067 Å, rel. 26, (3 2 2)
2θ = 43.94°, d = 2.061 Å, rel. 27, (4 2 -2)
2θ = 48.14°, d = 1.890 Å, rel. 29, (1 2 -4)

Cell lengths 10.159, 8.551, 8.428 Å; angles 90.00, 101.74, 90.00 degrees
Space group P2_1/c (No. 14)
One atom of each set of equivalent atoms:
K: 0.002 0.249 0.000 [4 per cell]
K: 0.461 0.729 0.364 [4 per cell]
H: 0.152 0.001 0.289 [4 per cell]
H: 0.157 0.525 0.288 [4 per cell]
H: 0.274 0.193 0.818 [4 per cell]
H: 0.283 0.523 0.623 [4 per cell]
H: 0.283 0.524 0.020 [4 per cell]
F: 0.149 0.001 0.423 [4 per cell]
F: 0.151 0.127 0.785 [4 per cell]
F: 0.152 0.001 0.151 [4 per cell]
F: 0.158 0.647 0.289 [4 per cell]
F: 0.366 0.246 0.843 [4 per cell]
F: 0.374 0.550 0.080 [4 per cell]
F: 0.377 0.548 0.609 [4 per cell]

=====

Entry 3:
The following is a computed powder diffractogram of K2Na2Sb2H6O3F10. It was derived from a DFT-relaxed cell (PBE, the Materials Project), using λ = 1.5418 Å (Cu Kα).
Lines closer than 0.1° are merged.

Top 10 peaks for 2θ = 10–90°, by angle:
2θ = 15.22°, d = 5.820 Å, rel. 100, (1 1 0)
2θ = 19.84°, d = 4.476 Å, rel. 45, (0 4 0)
2θ = 20.52°, d = 4.329 Å, rel. 36, (1 0 1)
2θ = 20.73°, d = 4.284 Å, rel. 67, (1 3 0)
2θ = 28.53°, d = 3.129 Å, rel. 79, (1 4 -1)
2θ = 28.69°, d = 3.112 Å, rel. 73, (1 4 1)
2θ = 28.85°, d = 3.095 Å, rel. 35, (1 5 0)
2θ = 29.02°, d = 3.077 Å, rel. 53, (2 0 0)
2θ = 41.27°, d = 2.188 Å, rel. 49, (2 0 -2)
2θ = 41.73°, d = 2.164 Å, rel. 39, (2 0 2)

Cell lengths 6.154, 17.903, 6.155 Å; angles 90.00, 90.61, 90.00 degrees
Space group P2_1/m (No. 11)
One atom of each set of equivalent atoms:
K: 0.243 0.000 0.240 [4 per cell]
Na: 0.253 0.115 0.741 [4 per cell]
Sb: 0.257 0.630 0.742 [4 per cell]
H: 0.174 0.706 0.210 [4 per cell]
H: 0.226 0.207 0.144 [4 per cell]
H: 0.285 0.250 0.542 [2 per cell]
H: 0.455 0.250 0.735 [2 per cell]
O: 0.261 0.750 0.250 [2 per cell]
O: 0.268 0.250 0.232 [2 per cell]
O: 0.296 0.250 0.702 [2 per cell]
F: 0.013 0.626 0.994 [4 per cell]
F: 0.017 0.603 0.509 [4 per cell]
F: 0.222 0.519 0.782 [4 per cell]
F: 0.483 0.593 0.515 [4 per cell]
F: 0.493 0.606 0.984 [4 per cell]

=====

Please write out number 2 again, unchanged.
The following is a computed powder diffractogram of K2H5F7. It was derived from a DFT-relaxed cell (PBE, the Materials Project), using λ = 1.5418 Å (Cu Kα).
Lines closer than 0.1° are merged.

Top 10 peaks for 2θ = 10–90°, by angle:
2θ = 17.83°, d = 4.973 Å, rel. 28, (2 0 0)
2θ = 27.51°, d = 3.242 Å, rel. 85, (2 2 0)
2θ = 32.70°, d = 2.739 Å, rel. 100, (1 2 2)
2θ = 32.78°, d = 2.732 Å, rel. 96, (2 2 -2)
2θ = 34.24°, d = 2.619 Å, rel. 28, (0 1 3)
2θ = 42.03°, d = 2.150 Å, rel. 39, (4 2 0)
2θ = 42.92°, d = 2.107 Å, rel. 31, (1 0 -4)
2θ = 43.80°, d = 2.067 Å, rel. 26, (3 2 2)
2θ = 43.94°, d = 2.061 Å, rel. 27, (4 2 -2)
2θ = 48.14°, d = 1.890 Å, rel. 29, (1 2 -4)

Cell lengths 10.159, 8.551, 8.428 Å; angles 90.00, 101.74, 90.00 degrees
Space group P2_1/c (No. 14)
One atom of each set of equivalent atoms:
K: 0.002 0.249 0.000 [4 per cell]
K: 0.461 0.729 0.364 [4 per cell]
H: 0.152 0.001 0.289 [4 per cell]
H: 0.157 0.525 0.288 [4 per cell]
H: 0.274 0.193 0.818 [4 per cell]
H: 0.283 0.523 0.623 [4 per cell]
H: 0.283 0.524 0.020 [4 per cell]
F: 0.149 0.001 0.423 [4 per cell]
F: 0.151 0.127 0.785 [4 per cell]
F: 0.152 0.001 0.151 [4 per cell]
F: 0.158 0.647 0.289 [4 per cell]
F: 0.366 0.246 0.843 [4 per cell]
F: 0.374 0.550 0.080 [4 per cell]
F: 0.377 0.548 0.609 [4 per cell]